The following is a computed powder diffraction line list of BaSr7Co4Cu4O24. It was derived from a GGA+U-relaxed structure, using Cu Kα, 1.54184 Å.
Peak positions follow from Bragg's law for the DFT cell and can differ from measured ones.

Top 10 peaks for 5° ≤ 2θ ≤ 70°, by intensity:
d_spacing, I (rel.)
2.756, 100
1.949, 37
1.592, 28
1.379, 11
2.251, 11
1.377, 10
1.589, 9
7.796, 1
5.513, 1
3.486, 1

Cell and atoms:
a b c (Å): 7.796 7.796 7.796
angles (deg): 90.09 90.09 90.09
Fractional coordinates of all 40 atoms:
Ba 0.000 0.000 0.000
Sr 0.503 0.503 0.503
Sr 0.503 0.503 0.999
Sr 0.503 0.999 0.503
Sr 0.503 0.999 0.999
Sr 0.999 0.503 0.503
Sr 0.999 0.503 0.999
Sr 0.999 0.999 0.503
Co 0.252 0.252 0.252
Co 0.253 0.253 0.751
Co 0.253 0.751 0.253
Co 0.751 0.253 0.253
Cu 0.251 0.751 0.751
Cu 0.751 0.251 0.751
Cu 0.751 0.751 0.251
Cu 0.751 0.751 0.751
O 0.002 0.744 0.744
O 0.006 0.256 0.256
O 0.006 0.257 0.746
O 0.006 0.746 0.257
O 0.251 0.497 0.750
O 0.251 0.750 0.497
O 0.252 0.252 0.497
O 0.252 0.497 0.252
O 0.256 0.006 0.256
O 0.256 0.256 0.006
O 0.257 0.006 0.746
O 0.257 0.746 0.006
O 0.497 0.251 0.750
O 0.497 0.252 0.252
O 0.497 0.750 0.251
O 0.500 0.748 0.748
O 0.744 0.002 0.744
O 0.744 0.744 0.002
O 0.746 0.006 0.257
O 0.746 0.257 0.006
O 0.748 0.500 0.748
O 0.748 0.748 0.500
O 0.750 0.251 0.497
O 0.750 0.497 0.251